This entry pairs a crystal structure of PaGaMoO6 with its calculated powder diffractogram. Radiation: Cu Kα (weighted mean of Kα1 and Kα2). Structure: a structure optimized by DFT (PBE+U).
Peak positions follow from Bragg's law for the DFT cell and can differ from measured ones.

Cell and atoms:
a = 4.843 Å, b = 4.843 Å, c = 9.767 Å
α = 90.00°, β = 90.00°, γ = 90.00°
Space group P4_2nm (No. 102)
One atom of each set of equivalent atoms:
Pa  0.000  0.000  0.000
Ga  0.000  0.000  0.665
Mo  0.000  0.000  0.331
O  0.184  0.184  0.502
O  0.202  0.202  0.823
O  0.205  0.205  0.172

Peak list (6 most intense, 10° ≤ 2θ ≤ 90°, by angle)
2θ/deg  intensity  hkl
20.47  38.2  1 0 1
26.02  100.0  1 1 0
33.16  85.1  1 0 3
37.13  24.3  2 0 0
50.62  68.4  2 1 3
64.42  20.0  3 0 3